Cu7Ag: simulated powder XRD pattern (Cu Ka), based on a cell relaxed with PBE.
Peak positions follow from Bragg's law for the DFT cell and can differ from measured ones.

Peak list (6 most intense, 10 to 90 degrees two-theta, in order of rising 2θ)
2θ (°)  intensity
42.42  100
49.31  31
49.54  16
72.47  22
87.52  11
87.93  11

Atomic structure:
a b c (Å): 6.388 5.840 4.515
angles (deg): 74.96 62.00 43.05
Fractional positions:
Cu 0.000 0.000 0.000
Cu 0.131 0.131 0.369
Cu 0.244 0.244 0.756
Cu 0.369 0.369 0.131
Cu 0.631 0.631 0.869
Cu 0.756 0.756 0.244
Cu 0.869 0.869 0.631
Ag 0.500 0.500 0.500


GaNi17: simulated powder XRD pattern (Cu Ka), based on a cell relaxed with PBE.
Peak positions follow from Bragg's law for the DFT cell and can differ from measured ones.

Peak list (6 most intense, 10 to 90 degrees two-theta, in order of rising 2θ)
2θ (°)  intensity
11.40  19
43.76  53
44.72  100
45.81  37
51.78  40
51.89  20

Atomic structure:
a b c (Å): 4.284 4.956 31.054
angles (deg): 90.00 90.09 90.00
Fractional positions:
Ga 0.000 0.000 0.000
Ga 0.332 0.500 0.534
Ni 0.001 0.500 0.397
Ni 0.166 0.250 0.072
Ni 0.166 0.250 0.267
Ni 0.166 0.251 0.462
Ni 0.166 0.749 0.462
Ni 0.166 0.750 0.072
Ni 0.166 0.750 0.267
Ni 0.331 0.000 0.137
Ni 0.332 0.500 0.332
Ni 0.333 0.000 0.332
Ni 0.333 0.000 0.527
Ni 0.334 0.500 0.137
Ni 0.499 0.250 0.202
Ni 0.499 0.250 0.397
Ni 0.499 0.750 0.202
Ni 0.499 0.750 0.397
Ni 0.500 0.253 0.007
Ni 0.500 0.747 0.007
Ni 0.665 0.500 0.071
Ni 0.665 0.500 0.462
Ni 0.666 0.000 0.267
Ni 0.666 0.500 0.267
Ni 0.667 0.000 0.071
Ni 0.667 0.000 0.462
Ni 0.832 0.247 0.527
Ni 0.832 0.250 0.137
Ni 0.832 0.250 0.332
Ni 0.832 0.750 0.137
Ni 0.832 0.750 0.332
Ni 0.832 0.753 0.527
Ni 0.998 0.000 0.396
Ni 0.998 0.500 0.007
Ni 0.998 0.500 0.202
Ni 0.999 0.000 0.202


PmGeH: simulated powder XRD pattern (Cu Ka), based on a cell relaxed with PBE.
Peak positions follow from Bragg's law for the DFT cell and can differ from measured ones.

Peak list (6 most intense, 10 to 90 degrees two-theta, in order of rising 2θ)
2θ (°)  intensity
26.63  28
31.09  66
31.67  100
37.52  35
38.38  43
58.62  38

Atomic structure:
a b c (Å): 4.180 4.049 6.304
angles (deg): 90.00 109.35 90.00
Fractional positions:
Pm 0.148 0.250 0.295
Pm 0.852 0.750 0.705
Ge 0.435 0.250 0.871
Ge 0.565 0.750 0.129
H 0.254 0.750 0.509
H 0.746 0.250 0.491


Cu7Ag3: simulated powder XRD pattern (Cu Ka), based on a cell relaxed with PBE.
Peak positions follow from Bragg's law for the DFT cell and can differ from measured ones.

Peak list (6 most intense, 10 to 90 degrees two-theta, in order of rising 2θ)
2θ (°)  intensity
41.12  100
47.54  18
47.88  14
48.13  16
84.06  11
84.94  11

Atomic structure:
a b c (Å): 9.690 9.690 3.781
angles (deg): 90.00 90.00 157.23
Fractional positions:
Cu 0.000 0.000 0.000
Cu 0.206 0.794 0.000
Cu 0.294 0.706 0.500
Cu 0.390 0.610 0.000
Cu 0.610 0.390 0.000
Cu 0.706 0.294 0.500
Cu 0.794 0.206 0.000
Ag 0.107 0.893 0.500
Ag 0.500 0.500 0.500
Ag 0.893 0.107 0.500


LiCuS: simulated powder XRD pattern (Cu Ka), based on a cell relaxed with PBE.
Peak positions follow from Bragg's law for the DFT cell and can differ from measured ones.

Peak list (6 most intense, 10 to 90 degrees two-theta, in order of rising 2θ)
2θ (°)  intensity
16.77  92
28.61  41
33.92  100
34.35  33
41.51  27
54.75  24

Atomic structure:
a b c (Å): 6.950 6.921 6.038
angles (deg): 64.44 63.95 51.61
Fractional positions:
Li 0.015 0.015 0.735
Li 0.265 0.265 0.985
Li 0.735 0.735 0.015
Li 0.985 0.985 0.265
Cu 0.000 0.500 0.500
Cu 0.500 0.000 0.500
Cu 0.500 0.500 0.000
Cu 0.500 0.500 0.500
S 0.099 0.651 0.099
S 0.349 0.901 0.349
S 0.651 0.099 0.651
S 0.901 0.349 0.901


Y4ErTm2Ni2Te2: simulated powder XRD pattern (Cu Ka), based on a cell relaxed with PBE.
Peak positions follow from Bragg's law for the DFT cell and can differ from measured ones.

Peak list (6 most intense, 10 to 90 degrees two-theta, in order of rising 2θ)
2θ (°)  intensity
30.34  46
32.96  58
34.03  100
34.51  57
47.18  26
58.75  22

Atomic structure:
a b c (Å): 9.349 9.349 9.349
angles (deg): 156.22 66.94 118.46
Fractional positions:
Y 0.146 0.000 0.146
Y 0.168 0.352 0.816
Y 0.536 0.352 0.184
Y 0.854 0.000 0.854
Er 0.231 0.731 0.500
Tm 0.516 0.149 0.367
Tm 0.782 0.149 0.633
Ni 0.399 0.658 0.740
Ni 0.918 0.658 0.260
Te 0.497 0.497 0.000
Te 0.893 0.393 0.500